This entry pairs a crystal structure of NbTl3F8 with its theoretical XRD peak list. Radiation: CuKα. Structure: a cell relaxed with PBE.
Intensities are scaled so that the largest is 100.

Structural model:
a = 6.0779 Å, b = 6.0779 Å, c = 6.0779 Å
α = 90.00°, β = 90.00°, γ = 90.00°
Element x y z (fractional)
Nb1 0.0000 0.0000 0.0000
Tl1 0.0000 0.5000 0.5000
Tl2 0.5000 0.0000 0.5000
Tl3 0.5000 0.5000 0.0000
F1 0.1974 0.1974 0.1974
F2 0.1974 0.1974 0.8026
F3 0.1974 0.8026 0.1974
F4 0.1974 0.8026 0.8026
F5 0.8026 0.1974 0.1974
F6 0.8026 0.1974 0.8026
F7 0.8026 0.8026 0.1974
F8 0.8026 0.8026 0.8026

Peak list (8 most intense, 10° ≤ 2θ ≤ 90°, in order of rising 2θ)
2theta	intensity
25.4	100
29.4	34
42.0	50
49.8	47
67.1	21
69.1	17
76.8	14
82.5	15


This entry pairs a crystal structure of Nd3F with its theoretical XRD peak list. Radiation: CuKα. Structure: a cell relaxed with PBE.
Intensities are scaled so that the largest is 100.

Structural model:
a = 6.3139 Å, b = 6.3139 Å, c = 6.3139 Å
α = 148.40°, β = 67.99°, γ = 121.53°
Element x y z (fractional)
Nd1 0.0000 0.0000 0.0000
Nd2 0.3060 0.4830 0.8231
Nd3 0.6599 0.4830 0.1769
F1 0.6707 0.1707 0.5000

Peak list (8 most intense, 10° ≤ 2θ ≤ 90°, in order of rising 2θ)
2theta	intensity
27.3	44
29.0	52
29.4	100
34.4	81
40.2	39
51.6	23
59.8	21
62.0	24